Computed PXRD pattern
Compound: Dy3Ga2
Radiation: Cu Ka
Structure: a crystal structure in Alexandria, relaxed with GGA-PBE

Largest 12 diffraction maxima, low angle first, 2θ = 10–90°:
2theta  I (rel.)
23.9  17
32.3  83
32.5  23
32.7  31
33.1  42
34.3  100
34.5  27
34.7  20
36.7  30
54.0  19
55.9  18
61.7  20

Structural model:
```
Dy3Ga2
1.0
-5.8125 5.8125 7.4447
5.8125 -5.8125 7.4447
5.8125 5.8125 -7.4447
Dy Ga
24 16
Direct
0.0669 0.9320 0.2695 Dy
0.0680 0.3375 0.1349 Dy
0.1464 0.6464 0.5000 Dy
0.1625 0.4320 0.8651 Dy
0.1689 0.3311 0.5000 Dy
0.2026 0.9331 0.8651 Dy
0.2974 0.1625 0.7305 Dy
0.3311 0.8311 0.1621 Dy
0.3375 0.2026 0.2695 Dy
0.3536 0.8536 0.5000 Dy
0.4320 0.5669 0.2695 Dy
0.4331 0.7026 0.8651 Dy
0.5669 0.2974 0.1349 Dy
0.5680 0.4331 0.7305 Dy
0.6464 0.1464 0.5000 Dy
0.6625 0.7974 0.7305 Dy
0.6689 0.1689 0.8379 Dy
0.7026 0.8375 0.2695 Dy
0.7974 0.0669 0.1349 Dy
0.8311 0.6689 0.5000 Dy
0.8375 0.5680 0.1349 Dy
0.8536 0.3536 0.5000 Dy
0.9320 0.6625 0.8651 Dy
0.9331 0.0680 0.7305 Dy
0.0000 0.0000 0.0000 Ga
0.0242 0.8792 0.5000 Ga
0.1177 0.6177 0.7354 Ga
0.1208 0.6208 0.1450 Ga
0.2500 0.2500 0.0000 Ga
0.3792 0.5242 0.5000 Ga
0.3823 0.1177 0.5000 Ga
0.4758 0.9758 0.8550 Ga
0.5000 0.5000 0.0000 Ga
0.5242 0.0242 0.1450 Ga
0.6177 0.8823 0.5000 Ga
0.6208 0.4758 0.5000 Ga
0.7500 0.7500 0.0000 Ga
0.8792 0.3792 0.8550 Ga
0.8823 0.3823 0.2646 Ga
0.9758 0.1208 0.5000 Ga
```

---

Computed PXRD pattern
Compound: NbBi2O5F
Radiation: Cu Ka
Structure: a crystal structure in Alexandria, relaxed with GGA-PBE

Largest 12 diffraction maxima, low angle first, 2θ = 10–90°:
2theta  I (rel.)
10.4  20
27.8  100
31.5  18
32.5  16
32.6  15
35.0  12
45.9  27
46.6  16
53.8  17
55.1  14
55.2  15
57.4  12

Structural model:
```
NbBi2O5F
1.0
5.4994 0.0000 0.0000
0.0000 17.0567 0.0000
0.0000 0.0000 5.5163
Nb Bi O F
4 8 20 4
Direct
0.0117 0.2495 0.0000 Nb
0.4883 0.2495 0.5000 Nb
0.5117 0.7505 0.0000 Nb
0.9883 0.7505 0.5000 Nb
0.0049 0.5747 0.0281 Bi
0.0263 0.0758 0.5626 Bi
0.4737 0.0758 0.0626 Bi
0.4951 0.5747 0.5281 Bi
0.5049 0.4253 0.0281 Bi
0.5263 0.9242 0.5626 Bi
0.9737 0.9242 0.0626 Bi
0.9951 0.4253 0.5281 Bi
0.0877 0.1418 0.9686 O
0.2180 0.2856 0.6967 O
0.2269 0.7546 0.7515 O
0.2389 0.9995 0.2901 O
0.2485 0.4956 0.2633 O
0.2515 0.4956 0.7633 O
0.2611 0.9995 0.7901 O
0.2731 0.7546 0.2515 O
0.2820 0.2856 0.1967 O
0.4123 0.1418 0.4686 O
0.5877 0.8582 0.9686 O
0.7180 0.7144 0.6967 O
0.7269 0.2454 0.7515 O
0.7389 0.0005 0.2901 O
0.7485 0.5044 0.2633 O
0.7515 0.5044 0.7633 O
0.7611 0.0005 0.7901 O
0.7731 0.2454 0.2515 O
0.7820 0.7144 0.1967 O
0.9123 0.8582 0.4686 O
0.0645 0.6226 0.4806 F
0.4355 0.6226 0.9806 F
0.5645 0.3774 0.4806 F
0.9355 0.3774 0.9806 F
```